Record 1
Theoretical powder diffraction line list
Compound: LiCoP2O7
Radiation: Cu Ka
Structure: a cell relaxed with GGA+U

Crystal structure
Lattice parameters (Å, degrees): 8.0469 8.0469 8.8606 110.23 110.23 36.75
Fractional coordinates of all 22 atoms:
Li 0.1770 0.8230 0.5000
Li 0.8230 0.1770 0.0000
Co 0.7767 0.8153 0.9517
Co 0.8153 0.7767 0.4517
P 0.0598 0.3419 0.6555
P 0.2508 0.5512 0.7710
P 0.3419 0.0598 0.1555
P 0.5512 0.2508 0.2710
O 0.0193 0.7679 0.8875
O 0.0716 0.1743 0.1028
O 0.1155 0.6822 0.6106
O 0.1743 0.0716 0.6028
O 0.2854 0.3177 0.2201
O 0.3177 0.2854 0.7201
O 0.4367 0.5196 0.3441
O 0.5196 0.4367 0.8441
O 0.5197 0.8906 0.3025
O 0.5338 0.8834 0.0207
O 0.6822 0.1155 0.1106
O 0.7679 0.0193 0.3875
O 0.8834 0.5338 0.5207
O 0.8906 0.5197 0.8025

Most intense lines, 15° ≤ 2θ ≤ 90°, low angle first:
- 2θ = 20.30°, I 43
- 2θ = 22.61°, I 25
- 2θ = 25.72°, I 30
- 2θ = 26.46°, I 17
- 2θ = 26.76°, I 100
- 2θ = 28.91°, I 20

Record 2
Theoretical powder diffraction line list
Compound: LiCo2P2O8
Radiation: Cu Ka
Structure: a cell relaxed with GGA+U

Crystal structure
Lattice parameters (Å, degrees): 7.7863 5.4854 8.5387 90.00 103.72 90.00
Fractional coordinates of all 26 atoms:
Li 0.0000 0.1616 0.0000
Li 0.0000 0.8384 0.5000
Co 0.1271 0.3443 0.3801
Co 0.1271 0.6557 0.8801
Co 0.5944 0.1515 0.6702
Co 0.5944 0.8485 0.1702
P 0.3648 0.1605 0.9170
P 0.3648 0.8395 0.4170
P 0.8800 0.3402 0.6223
P 0.8800 0.6598 0.1223
O 0.0013 0.1958 0.5357
O 0.0013 0.8042 0.0357
O 0.2197 0.3275 0.9531
O 0.2197 0.6725 0.4531
O 0.2958 0.0938 0.3638
O 0.2958 0.9062 0.8638
O 0.4434 0.2810 0.7828
O 0.4434 0.7190 0.2828
O 0.5203 0.1397 0.0730
O 0.5203 0.8603 0.5730
O 0.6845 0.3488 0.5200
O 0.6845 0.6512 0.0200
O 0.8513 0.1935 0.7738
O 0.8513 0.8065 0.2738
O 0.9580 0.4027 0.1666
O 0.9580 0.5973 0.6666

Most intense lines, 15° ≤ 2θ ≤ 90°, low angle first:
- 2θ = 19.40°, I 55
- 2θ = 20.00°, I 62
- 2θ = 21.86°, I 65
- 2θ = 24.01°, I 100
- 2θ = 26.86°, I 58
- 2θ = 32.41°, I 51

Record 3
Theoretical powder diffraction line list
Compound: Li2CoP2O7
Radiation: Cu Ka
Structure: a cell relaxed with GGA+U

Crystal structure
Lattice parameters (Å, degrees): 7.6860 7.6860 5.0376 90.00 90.00 90.00
Fractional coordinates of all 24 atoms:
Li 0.2168 0.2832 0.4625
Li 0.2832 0.7832 0.5375
Li 0.7168 0.2168 0.5375
Li 0.7832 0.7168 0.4625
Co 0.0000 0.0000 0.0000
Co 0.5000 0.5000 0.0000
P 0.1425 0.6425 0.0987
P 0.3575 0.1425 0.9013
P 0.6425 0.8575 0.9013
P 0.8575 0.3575 0.0987
O 0.0000 0.5000 0.1929
O 0.0807 0.8103 0.2413
O 0.1548 0.6548 0.8016
O 0.1897 0.0807 0.7587
O 0.3103 0.5807 0.2413
O 0.3452 0.1548 0.1984
O 0.4193 0.3103 0.7587
O 0.5000 0.0000 0.8071
O 0.5807 0.6897 0.7587
O 0.6548 0.8452 0.1984
O 0.6897 0.4193 0.2413
O 0.8103 0.9193 0.7587
O 0.8452 0.3452 0.8016
O 0.9193 0.1897 0.2413

Most intense lines, 15° ≤ 2θ ≤ 90°, low angle first:
- 2θ = 17.61°, I 100
- 2θ = 25.92°, I 73
- 2θ = 29.23°, I 27
- 2θ = 31.51°, I 32
- 2θ = 41.24°, I 46
- 2θ = 52.31°, I 26

Record 4
Theoretical powder diffraction line list
Compound: Li2CoP2O7
Radiation: Cu Ka
Structure: a cell relaxed with GGA+U

Crystal structure
Lattice parameters (Å, degrees): 8.1590 8.1590 8.8428 113.53 113.53 35.63
Fractional coordinates of all 24 atoms:
Li 0.0494 0.3299 0.0525
Li 0.3299 0.0494 0.5525
Li 0.6701 0.9506 0.4475
Li 0.9506 0.6701 0.9475
Co 0.0000 0.0000 0.0000
Co 0.0000 0.0000 0.5000
P 0.2628 0.5330 0.6849
P 0.4670 0.7372 0.8151
P 0.5330 0.2628 0.1849
P 0.7372 0.4670 0.3151
O 0.0535 0.7462 0.5588
O 0.1220 0.6691 0.8394
O 0.2464 0.3985 0.1112
O 0.2538 0.9465 0.9412
O 0.3309 0.8780 0.6606
O 0.3985 0.2464 0.6112
O 0.4767 0.5233 0.2500
O 0.5233 0.4767 0.7500
O 0.6015 0.7536 0.3888
O 0.6691 0.1220 0.3394
O 0.7462 0.0535 0.0588
O 0.7536 0.6015 0.8888
O 0.8780 0.3309 0.1606
O 0.9465 0.2538 0.4412

Most intense lines, 15° ≤ 2θ ≤ 90°, low angle first:
- 2θ = 20.50°, I 29
- 2θ = 23.21°, I 25
- 2θ = 25.70°, I 13
- 2θ = 26.04°, I 26
- 2θ = 27.11°, I 100
- 2θ = 28.65°, I 22

Record 5
Theoretical powder diffraction line list
Compound: LiCoP4O12
Radiation: Cu Ka
Structure: a cell relaxed with GGA+U

Crystal structure
Lattice parameters (Å, degrees): 7.2888 7.2888 9.7749 112.19 112.19 70.07
Fractional coordinates of all 36 atoms:
Li 0.0444 0.9556 0.7500
Li 0.9556 0.0444 0.2500
Co 0.0000 0.5000 0.5000
Co 0.5000 0.0000 0.0000
P 0.2590 0.7317 0.0283
P 0.2683 0.7410 0.4717
P 0.3037 0.3159 0.8031
P 0.3159 0.3037 0.3031
P 0.6841 0.6963 0.6969
P 0.6963 0.6841 0.1969
P 0.7317 0.2590 0.5283
P 0.7410 0.2683 0.9717
O 0.0882 0.8501 0.0930
O 0.1263 0.2979 0.3300
O 0.1499 0.9118 0.4070
O 0.1874 0.3417 0.6453
O 0.1925 0.6837 0.5729
O 0.2210 0.5057 0.9321
O 0.2979 0.1263 0.8300
O 0.3163 0.8075 0.9271
O 0.3198 0.5342 0.3345
O 0.3417 0.1874 0.1453
O 0.4658 0.6802 0.1655
O 0.4943 0.7790 0.5679
O 0.5057 0.2210 0.4321
O 0.5342 0.3198 0.8345
O 0.6583 0.8126 0.8547
O 0.6802 0.4658 0.6655
O 0.6837 0.1925 0.0729
O 0.7021 0.8737 0.1700
O 0.7790 0.4943 0.0679
O 0.8075 0.3163 0.4271
O 0.8126 0.6583 0.3547
O 0.8501 0.0882 0.5930
O 0.8737 0.7021 0.6700
O 0.9118 0.1499 0.9070

Most intense lines, 15° ≤ 2θ ≤ 90°, low angle first:
- 2θ = 19.15°, I 47
- 2θ = 19.58°, I 29
- 2θ = 24.82°, I 43
- 2θ = 27.16°, I 23
- 2θ = 29.67°, I 100
- 2θ = 31.47°, I 25